1.
This entry pairs a crystal structure of Y2US3O2 with its computed X-ray powder pattern. Radiation: Cu Ka. Structure: a PBE-relaxed structure.
Intensities are scaled so that the largest is 100.

The 10 most intense peaks (15° ≤ 2θ ≤ 90°), by angle:
- 2θ = 16.79°, I = 26, (0 0 4)
- 2θ = 23.70°, I = 24, (1 0 1)
- 2θ = 25.30°, I = 34, (0 0 6)
- 2θ = 26.58°, I = 100, (1 0 3)
- 2θ = 31.60°, I = 59, (1 0 5)
- 2θ = 33.21°, I = 72, (1 1 0)
- 2θ = 38.02°, I = 38, (1 0 7)
- 2θ = 42.21°, I = 48, (1 1 6)
- 2θ = 47.68°, I = 33, (2 0 0)
- 2θ = 55.42°, I = 28, (2 1 3)

Cell lengths 3.815, 3.815, 21.125 Å; angles 90.00, 90.00, 90.00 degrees
Space group I4mm (No. 107)
Asymmetric unit:
Y  0.000  0.000  0.000
Y  0.000  0.000  0.314
U  0.000  0.000  0.693
S  0.000  0.000  0.130
S  0.000  0.000  0.502
S  0.000  0.000  0.871
O  0.000  0.500  0.249

=====

2.
This entry pairs a crystal structure of Rb3PN4 with its computed X-ray powder pattern. Radiation: Cu Ka. Structure: a PBE-relaxed structure.
Intensities are scaled so that the largest is 100.

The 10 most intense peaks (15° ≤ 2θ ≤ 90°), by angle:
- 2θ = 25.60°, I = 28, (0 2 0)
- 2θ = 28.34°, I = 100, (1 1 1)
- 2θ = 31.38°, I = 25, (2 0 -2)
- 2θ = 31.73°, I = 9, (2 2 -1)
- 2θ = 32.51°, I = 11, (3 1 0)
- 2θ = 40.09°, I = 12, (4 0 0)
- 2θ = 40.93°, I = 18, (2 2 -2)
- 2θ = 46.86°, I = 22, (1 3 1)
- 2θ = 48.17°, I = 8, (4 2 0)
- 2θ = 53.96°, I = 7, (1 1 -3)

Cell lengths 10.637, 6.959, 5.701 Å; angles 90.00, 122.23, 90.00 degrees
Space group C2 (No. 5)
Asymmetric unit:
Rb  0.000  0.000  0.000
Rb  0.231  0.511  0.231
P  0.000  0.546  0.500
N  0.001  0.302  0.387
N  0.162  0.632  0.664

=====

3.
This entry pairs a crystal structure of Ca2Tc3N5 with its computed X-ray powder pattern. Radiation: Cu Ka. Structure: a PBE-relaxed structure.
Intensities are scaled so that the largest is 100.

The 10 most intense peaks (15° ≤ 2θ ≤ 90°), by angle:
- 2θ = 16.64°, I = 51, (2 0 -1)
- 2θ = 17.19°, I = 98, (2 0 0)
- 2θ = 31.52°, I = 61, (4 0 -1)
- 2θ = 32.78°, I = 84, (1 1 1)
- 2θ = 36.23°, I = 35, (1 1 -2)
- 2θ = 39.28°, I = 100, (3 1 -2)
- 2θ = 39.66°, I = 22, (0 0 3)
- 2θ = 43.70°, I = 35, (3 1 1)
- 2θ = 50.23°, I = 23, (2 0 3)
- 2θ = 55.48°, I = 22, (0 2 0)

Cell lengths 11.366, 3.312, 7.513 Å; angles 90.00, 114.84, 90.00 degrees
Space group C2/m (No. 12)
Asymmetric unit:
Ca  0.194  0.000  0.267
Tc  0.000  0.000  0.500
Tc  0.062  0.500  0.805
N  0.000  0.500  0.000
N  0.103  0.500  0.431
N  0.159  0.000  0.799

=====

4.
This entry pairs a crystal structure of Tb2Pr6YMg with its computed X-ray powder pattern. Radiation: Cu Ka. Structure: a PBE-relaxed structure.
Intensities are scaled so that the largest is 100.

The 10 most intense peaks (15° ≤ 2θ ≤ 90°), by angle:
- 2θ = 25.09°, I = 15, (0 4 1)
- 2θ = 27.80°, I = 22, (2 2 -2)
- 2θ = 28.14°, I = 42, (1 3 2)
- 2θ = 29.78°, I = 60, (3 1 -1)
- 2θ = 30.56°, I = 50, (0 2 3)
- 2θ = 30.71°, I = 100, (2 2 2)
- 2θ = 31.01°, I = 41, (2 4 -1)
- 2θ = 31.86°, I = 30, (1 5 -1)
- 2θ = 33.77°, I = 37, (1 3 -3)
- 2θ = 45.73°, I = 21, (3 1 -4)

Cell lengths 9.388, 15.300, 9.560 Å; angles 90.00, 96.58, 90.00 degrees
Space group C2/c (No. 15)
Asymmetric unit:
Tb  0.247  0.052  0.449
Pr  0.051  0.320  0.950
Pr  0.106  0.103  0.109
Pr  0.218  0.285  0.302
Y  0.000  0.477  0.250
Mg  0.000  0.087  0.750

=====

5.
This entry pairs a crystal structure of Tm3InHg with its computed X-ray powder pattern. Radiation: Cu Ka. Structure: a PBE-relaxed structure.
Intensities are scaled so that the largest is 100.

The 10 most intense peaks (15° ≤ 2θ ≤ 90°), by angle:
- 2θ = 33.07°, I = 100, (1 5 1)
- 2θ = 35.42°, I = 43, (2 0 0)
- 2θ = 43.76°, I = 10, (0 10 0)
- 2θ = 50.95°, I = 15, (2 0 2)
- 2θ = 57.51°, I = 18, (2 10 0)
- 2θ = 62.10°, I = 33, (3 5 1)
- 2θ = 69.38°, I = 11, (2 10 2)
- 2θ = 73.59°, I = 7, (1 15 1)
- 2θ = 84.38°, I = 7, (3 5 3)
- 2θ = 85.71°, I = 7, (4 0 2)

Cell lengths 5.071, 20.687, 5.068 Å; angles 90.00, 90.00, 90.00 degrees
Space group Cmcm (No. 63)
Asymmetric unit:
Tm  0.000  0.058  0.250
Tm  0.000  0.250  0.250
Tm  0.000  0.441  0.250
In  0.000  0.156  0.750
Hg  0.000  0.346  0.750

=====

6.
This entry pairs a crystal structure of K4ClF3 with its computed X-ray powder pattern. Radiation: Cu Ka. Structure: a PBE-relaxed structure.
Intensities are scaled so that the largest is 100.

The 10 most intense peaks (15° ≤ 2θ ≤ 90°), by angle:
- 2θ = 29.54°, I = 100, (1 0 2)
- 2θ = 32.99°, I = 12, (0 1 3)
- 2θ = 37.34°, I = 71, (0 1 4)
- 2θ = 46.77°, I = 41, (1 1 0)
- 2θ = 47.93°, I = 13, (0 1 6)
- 2θ = 56.29°, I = 13, (0 2 2)
- 2θ = 61.31°, I = 13, (2 0 4)
- 2θ = 73.43°, I = 8, (1 1 8)
- 2θ = 76.11°, I = 10, (2 1 2)
- 2θ = 80.50°, I = 11, (1 2 4)

Cell lengths 3.8850, 3.8850, 13.7935 Å; angles 90.00, 90.00, 120.00 degrees
Space group P-3m1 (No. 164)
Asymmetric unit:
K  0.3333  0.6667  0.3486
K  0.3333  0.6667  0.8832
Cl  0.0000  0.0000  0.5000
F  0.0000  0.0000  0.0000
F  0.0000  0.0000  0.2336

=====

7.
This entry pairs a crystal structure of CdAg2HgF8 with its computed X-ray powder pattern. Radiation: Cu Ka. Structure: a PBE-relaxed structure.
Intensities are scaled so that the largest is 100.

The 10 most intense peaks (15° ≤ 2θ ≤ 90°), by angle:
- 2θ = 26.26°, I = 100, (0 2 2)
- 2θ = 29.15°, I = 74, (2 0 2)
- 2θ = 32.14°, I = 46, (2 2 0)
- 2θ = 42.24°, I = 20, (0 4 0)
- 2θ = 46.09°, I = 66, (2 2 4)
- 2θ = 49.72°, I = 13, (4 0 0)
- 2θ = 52.14°, I = 29, (2 4 2)
- 2θ = 57.08°, I = 22, (4 2 2)
- 2θ = 67.23°, I = 15, (0 0 8)
- 2θ = 76.47°, I = 13, (4 4 4)

Cell lengths 7.336, 8.559, 11.143 Å; angles 90.00, 90.00, 90.00 degrees
Space group F222 (No. 22)
Asymmetric unit:
Cd  0.000  0.000  0.000
Ag  0.000  0.000  0.500
Ag  0.250  0.250  0.750
Hg  0.250  0.250  0.250
F  0.028  0.222  0.875
F  0.228  0.026  0.379

=====

8.
This entry pairs a crystal structure of Ce5AlRu6 with its computed X-ray powder pattern. Radiation: Cu Ka. Structure: a PBE-relaxed structure.
Intensities are scaled so that the largest is 100.

The 10 most intense peaks (15° ≤ 2θ ≤ 90°), by angle:
- 2θ = 25.66°, I = 34, (-1 1 1)
- 2θ = 32.73°, I = 19, (-1 1 2)
- 2θ = 34.74°, I = 99, (-1 2 1)
- 2θ = 35.11°, I = 100, (0 0 3)
- 2θ = 36.10°, I = 100, (1 -2 2)
- 2θ = 37.46°, I = 77, (1 2 0)
- 2θ = 40.84°, I = 66, (1 2 -3)
- 2θ = 42.20°, I = 48, (2 0 -1)
- 2θ = 51.59°, I = 30, (0 4 -2)
- 2θ = 54.39°, I = 20, (2 0 2)

Cell lengths 4.322, 7.173, 8.284 Å; angles 108.43, 99.70, 97.02 degrees
Space group P-1 (No. 2)
Asymmetric unit:
Ce  0.000  0.000  0.000
Ce  0.351  0.861  0.662
Ce  0.362  0.360  0.680
Al  0.000  0.500  0.000
Ru  0.060  0.404  0.314
Ru  0.183  0.857  0.267
Ru  0.446  0.277  0.017

=====

9.
This entry pairs a crystal structure of Cs4SrCd3F12 with its computed X-ray powder pattern. Radiation: Cu Ka. Structure: a PBE-relaxed structure.
Intensities are scaled so that the largest is 100.

The 10 most intense peaks (15° ≤ 2θ ≤ 90°), by angle:
- 2θ = 27.28°, I = 100, (2 2 0)
- 2θ = 33.58°, I = 5, (2 2 2)
- 2θ = 38.97°, I = 35, (4 0 0)
- 2θ = 48.22°, I = 42, (4 2 2)
- 2θ = 56.29°, I = 23, (4 4 0)
- 2θ = 63.65°, I = 18, (6 2 0)
- 2θ = 67.16°, I = 2, (6 2 2)
- 2θ = 70.58°, I = 7, (4 4 4)
- 2θ = 77.21°, I = 21, (6 4 2)
- 2θ = 83.68°, I = 3, (8 0 0)

Cell lengths 9.246, 9.246, 9.246 Å; angles 90.00, 90.00, 90.00 degrees
Space group Im-3m (No. 229)
Asymmetric unit:
Cs  0.250  0.250  0.250
Sr  0.000  0.000  0.000
Cd  0.000  0.000  0.500
F  0.000  0.000  0.259
F  0.000  0.250  0.500

=====

10.
This entry pairs a crystal structure of K2ClF4 with its computed X-ray powder pattern. Radiation: Cu Ka. Structure: a PBE-relaxed structure.
Intensities are scaled so that the largest is 100.

The 10 most intense peaks (15° ≤ 2θ ≤ 90°), by angle:
- 2θ = 18.23°, I = 25, (0 0 2)
- 2θ = 18.90°, I = 85, (1 1 1)
- 2θ = 30.96°, I = 86, (2 0 2)
- 2θ = 33.43°, I = 70, (2 2 0)
- 2θ = 36.93°, I = 74, (0 0 4)
- 2θ = 38.34°, I = 100, (2 2 2)
- 2θ = 44.99°, I = 37, (0 4 0)
- 2θ = 50.67°, I = 37, (2 2 4)
- 2θ = 50.88°, I = 24, (4 0 0)
- 2θ = 59.56°, I = 34, (0 4 4)

Cell lengths 7.179, 8.059, 9.735 Å; angles 90.00, 90.00, 90.00 degrees
Space group Fmmm (No. 69)
Asymmetric unit:
K  0.250  0.250  0.250
Cl  0.000  0.000  0.000
F  0.000  0.000  0.248
F  0.000  0.228  0.000

=====

11.
This entry pairs a crystal structure of PrMg11Cd with its computed X-ray powder pattern. Radiation: Cu Ka. Structure: a PBE-relaxed structure.
Intensities are scaled so that the largest is 100.

The 10 most intense peaks (15° ≤ 2θ ≤ 90°), by angle:
- 2θ = 17.27°, I = 68, (1 1 -1)
- 2θ = 24.55°, I = 83, (1 1 1)
- 2θ = 24.72°, I = 39, (0 0 2)
- 2θ = 27.71°, I = 34, (0 2 2)
- 2θ = 30.20°, I = 50, (1 3 1)
- 2θ = 34.76°, I = 49, (2 2 0)
- 2θ = 34.94°, I = 48, (2 2 -2)
- 2θ = 35.11°, I = 58, (1 5 -1)
- 2θ = 35.26°, I = 100, (0 4 2)
- 2θ = 50.25°, I = 22, (2 2 2)

Cell lengths 5.967, 14.427, 7.765 Å; angles 90.00, 112.11, 90.00 degrees
Space group C2/m (No. 12)
Asymmetric unit:
Pr  0.000  0.000  0.000
Mg  0.000  0.000  0.500
Mg  0.106  0.394  0.215
Mg  0.176  0.174  0.353
Mg  0.250  0.250  0.000
Cd  0.000  0.500  0.500

=====

12.
This entry pairs a crystal structure of SmHo3Tm2Bi6 with its computed X-ray powder pattern. Radiation: Cu Ka. Structure: a PBE-relaxed structure.
Intensities are scaled so that the largest is 100.

The 10 most intense peaks (15° ≤ 2θ ≤ 90°), by angle:
- 2θ = 24.40°, I = 3, (3 1 0)
- 2θ = 28.25°, I = 100, (6 0 0)
- 2θ = 40.37°, I = 78, (0 2 0)
- 2θ = 47.74°, I = 2, (4 2 -2)
- 2θ = 50.00°, I = 28, (6 2 0)
- 2θ = 58.42°, I = 13, (2 2 -4)
- 2θ = 64.26°, I = 1, (3 3 0)
- 2θ = 66.14°, I = 37, (8 2 -4)
- 2θ = 73.41°, I = 28, (7 3 -2)
- 2θ = 87.29°, I = 9, (0 4 0)

Cell lengths 19.470, 4.468, 8.937 Å; angles 90.00, 103.22, 90.00 degrees
Space group C2/m (No. 12)
Asymmetric unit:
Sm  0.000  0.000  0.000
Ho  0.000  0.000  0.500
Ho  0.165  0.500  0.832
Tm  0.167  0.500  0.333
Bi  0.001  0.500  0.255
Bi  0.167  0.000  0.582
Bi  0.169  0.000  0.086